# 1
Diffraction record for Nd3CuGeS7. The powder XRD pattern is theoretical, not measured: it uses DFT lattice parameters and positions (GGA-PBE) and a wavelength of 1.5418 Å.
Neutral-atom scattering factors, no anomalous dispersion.

Atomic structure:
```
Nd3CuGeS7
1.0
10.2028 0.0000 0.0000
-5.1014 8.8359 0.0000
0.0000 0.0000 5.8696
Nd Cu Ge S
6 2 2 14
direct
0.1278 0.3563 0.0000 Nd
0.2285 0.8722 0.0000 Nd
0.3563 0.2285 0.5000 Nd
0.6437 0.7715 0.0000 Nd
0.7715 0.1278 0.5000 Nd
0.8722 0.6437 0.5000 Nd
0.0000 0.0000 0.4684 Cu
0.0000 0.0000 0.9684 Cu
0.3333 0.6667 0.5819 Ge
0.6667 0.3333 0.0819 Ge
0.0911 0.2527 0.4811 S
0.1038 0.5832 0.7368 S
0.1616 0.9089 0.4811 S
0.2527 0.1616 0.9811 S
0.3333 0.6667 0.2067 S
0.4168 0.5206 0.7368 S
0.4794 0.8962 0.7368 S
0.5206 0.1038 0.2368 S
0.5832 0.4794 0.2368 S
0.6667 0.3333 0.7067 S
0.7473 0.8384 0.4811 S
0.8384 0.0911 0.9811 S
0.8962 0.4168 0.2368 S
0.9089 0.7473 0.9811 S
```

Top 10 peaks for 2θ = 10–90°, in order of rising 2θ:
2θ/deg  I_rel  (hkl)
23.10  30  1 1 1
25.23  100  2 0 1
26.69  25  1 2 0
30.46  28  0 0 2
35.19  51  2 2 0
36.70  55  1 3 0
39.86  32  3 1 1
40.93  42  1 2 2
47.20  30  2 2 2
48.39  23  1 3 2

---

# 2
Diffraction record for Nd3CuGeSe7. The powder XRD pattern is theoretical, not measured: it uses DFT lattice parameters and positions (GGA-PBE) and a wavelength of 1.5418 Å.
Neutral-atom scattering factors, no anomalous dispersion.

Atomic structure:
```
Nd3CuGeSe7
1.0
10.6433 0.0000 0.0000
-5.3216 9.2173 0.0000
0.0000 0.0000 6.1604
Nd Cu Ge Se
6 2 2 14
direct
0.1308 0.7755 0.0000 Nd
0.2245 0.3553 0.0000 Nd
0.3553 0.1308 0.5000 Nd
0.6447 0.8692 0.0000 Nd
0.7755 0.6447 0.5000 Nd
0.8692 0.2245 0.5000 Nd
0.0000 0.0000 0.4669 Cu
0.0000 0.0000 0.9669 Cu
0.3333 0.6667 0.5836 Ge
0.6667 0.3333 0.0836 Ge
0.0951 0.8384 0.4801 Se
0.0979 0.5187 0.7429 Se
0.1616 0.2567 0.4801 Se
0.2567 0.0951 0.9801 Se
0.3333 0.6667 0.2006 Se
0.4208 0.9021 0.7429 Se
0.4813 0.5792 0.7429 Se
0.5187 0.4208 0.2429 Se
0.5792 0.0979 0.2429 Se
0.6667 0.3333 0.7006 Se
0.7433 0.9049 0.4801 Se
0.8384 0.7433 0.9801 Se
0.9021 0.4813 0.2429 Se
0.9049 0.1616 0.9801 Se
```

Top 10 peaks for 2θ = 10–90°, in order of rising 2θ:
2θ/deg  I_rel  (hkl)
24.12  44  2 0 1
29.45  46  2 1 1
30.60  54  1 0 2
32.57  44  3 0 1
33.67  83  2 2 0
35.08  100  3 1 0
38.11  36  1 3 1
39.04  52  2 1 2
45.04  34  2 2 2
51.72  27  5 0 1

---

# 3
Diffraction record for UCuNiGe2. The powder XRD pattern is theoretical, not measured: it uses DFT lattice parameters and positions (GGA-PBE) and a wavelength of 1.5418 Å.
Neutral-atom scattering factors, no anomalous dispersion.

Atomic structure:
```
UCuNiGe2
1.0
4.0475 0.0000 0.0000
0.0000 4.0475 0.0000
0.0000 0.0000 10.0265
U Cu Ni Ge
2 2 2 4
direct
0.0000 0.0000 0.0000 U
0.5000 0.5000 0.5000 U
0.0000 0.5000 0.7500 Cu
0.5000 0.0000 0.2500 Cu
0.0000 0.5000 0.2500 Ni
0.5000 0.0000 0.7500 Ni
0.0000 0.0000 0.3773 Ge
0.0000 0.0000 0.6227 Ge
0.5000 0.5000 0.1227 Ge
0.5000 0.5000 0.8773 Ge
```

Top 10 peaks for 2θ = 10–90°, in order of rising 2θ:
2θ/deg  I_rel  (hkl)
23.71  29  1 0 1
31.25  32  1 1 0
34.81  89  1 0 3
36.14  100  1 1 2
44.78  53  2 0 0
50.81  33  1 0 5
57.94  42  2 1 3
65.19  17  2 2 0
70.02  26  2 1 5
76.87  22  3 1 2

---

# 4
Diffraction record for CuGeO3. The powder XRD pattern is theoretical, not measured: it uses DFT lattice parameters and positions (GGA-PBE) and a wavelength of 1.5418 Å.
Neutral-atom scattering factors, no anomalous dispersion.

Atomic structure:
```
CuGeO3
1.0
4.9269 0.0000 0.0000
0.0000 6.8557 0.0000
-0.3986 0.0000 6.2938
Cu Ge O
4 4 12
direct
0.0000 0.0000 0.0000 Cu
0.0000 0.0000 0.5000 Cu
0.0000 0.5000 0.0000 Cu
0.0000 0.5000 0.5000 Cu
0.4942 0.2020 0.2531 Ge
0.4942 0.2980 0.7531 Ge
0.5058 0.7020 0.2469 Ge
0.5058 0.7980 0.7469 Ge
0.1467 0.1190 0.2536 O
0.1467 0.3810 0.7536 O
0.3299 0.6963 0.5011 O
0.3299 0.8037 0.0011 O
0.3438 0.0442 0.6821 O
0.3438 0.4558 0.1821 O
0.6562 0.5442 0.8179 O
0.6562 0.9558 0.3179 O
0.6701 0.1963 0.9989 O
0.6701 0.3037 0.4989 O
0.8533 0.6190 0.2464 O
0.8533 0.8810 0.7464 O
```

Top 10 peaks for 2θ = 10–90°, in order of rising 2θ:
2θ/deg  I_rel  (hkl)
29.68  19  0 2 1
31.82  100  1 2 0
32.80  55  1 0 -2
34.81  35  1 0 2
36.55  31  2 0 0
38.85  40  0 2 2
53.02  23  2 2 -2
55.75  25  2 2 2
58.65  19  0 0 4
62.85  13  3 2 0

---

# 5
Diffraction record for CuGeO3. The powder XRD pattern is theoretical, not measured: it uses DFT lattice parameters and positions (GGA-PBE) and a wavelength of 1.5418 Å.
Neutral-atom scattering factors, no anomalous dispersion.

Atomic structure:
```
CuGeO3
1.0
11.7028 0.0000 0.0000
0.0000 3.0171 0.0000
0.0000 0.0000 4.4093
Cu Ge O
2 2 6
direct
0.0000 0.0000 0.0000 Cu
0.5000 0.0000 0.0000 Cu
0.2500 0.0000 0.0634 Ge
0.7500 0.0000 0.9366 Ge
0.1172 0.0000 0.2591 O
0.2500 0.5000 0.8409 O
0.3828 0.0000 0.2591 O
0.6172 0.0000 0.7409 O
0.7500 0.5000 0.1591 O
0.8828 0.0000 0.7409 O
```

Top 10 peaks for 2θ = 10–90°, in order of rising 2θ:
2θ/deg  I_rel  (hkl)
20.14  100  0 0 1
21.54  12  1 0 1
29.61  47  0 1 0
30.56  28  4 0 0
36.07  34  0 1 1
36.88  61  4 0 1
43.07  13  4 1 0
47.98  32  4 1 1
51.94  21  4 0 2
60.92  20  4 1 2

---

# 6
Diffraction record for CuGeO3. The powder XRD pattern is theoretical, not measured: it uses DFT lattice parameters and positions (GGA-PBE) and a wavelength of 1.5418 Å.
Neutral-atom scattering factors, no anomalous dispersion.

Atomic structure:
```
CuGeO3
1.0
5.0254 0.0000 0.0000
0.0000 8.2534 0.0000
-0.0104 0.0000 5.9629
Cu Ge O
4 4 12
direct
0.0006 0.9995 0.2509 Cu
0.0006 0.5005 0.7509 Cu
0.9994 0.0005 0.7491 Cu
0.9994 0.4995 0.2491 Cu
0.4224 0.2415 0.0010 Ge
0.4224 0.2585 0.5010 Ge
0.5776 0.7415 0.4990 Ge
0.5776 0.7585 0.9990 Ge
0.2105 0.0873 0.5005 O
0.2105 0.4127 0.0005 O
0.2302 0.0617 0.0004 O
0.2302 0.4383 0.5004 O
0.3773 0.7499 0.2488 O
0.3773 0.7501 0.7488 O
0.6227 0.2499 0.2512 O
0.6227 0.2501 0.7512 O
0.7698 0.5617 0.4996 O
0.7698 0.9383 0.9996 O
0.7895 0.5873 0.9995 O
0.7895 0.9127 0.4995 O
```

Top 10 peaks for 2θ = 10–90°, in order of rising 2θ:
2θ/deg  I_rel  (hkl)
20.69  14  1 1 0
27.98  100  1 2 0
34.99  33  1 0 2
36.70  16  1 1 -2
37.20  24  0 2 2
43.88  14  0 4 0
48.66  10  2 1 -2
52.54  23  2 2 2
57.32  17  1 4 2
69.62  13  1 2 4

---

# 7
Diffraction record for CuGeO3. The powder XRD pattern is theoretical, not measured: it uses DFT lattice parameters and positions (GGA-PBE) and a wavelength of 1.5418 Å.
Neutral-atom scattering factors, no anomalous dispersion.

Atomic structure:
```
CuGeO3
1.0
8.7459 0.0000 0.0000
0.0000 2.9810 0.0000
0.0000 0.0000 4.9422
Cu Ge O
2 2 6
direct
0.0000 0.0000 0.0000 Cu
0.5000 0.0000 0.0000 Cu
0.2500 0.5000 0.4086 Ge
0.7500 0.5000 0.5914 Ge
0.0829 0.5000 0.2066 O
0.2500 0.0000 0.6127 O
0.4171 0.5000 0.2066 O
0.5829 0.5000 0.7934 O
0.7500 0.0000 0.3873 O
0.9171 0.5000 0.7934 O
```

Top 10 peaks for 2θ = 10–90°, in order of rising 2θ:
2θ/deg  I_rel  (hkl)
20.64  19  1 0 1
27.23  100  2 0 1
35.16  28  0 1 1
36.48  25  2 1 0
36.67  18  1 1 1
41.29  15  4 0 0
49.00  10  1 1 2
52.45  17  2 1 2
55.32  18  4 1 1
69.26  12  2 2 1